1.
Theoretical powder X-ray diffraction pattern of BaSm3 for CuKα, from DFT lattice parameters and positions (PBE).
Peak positions follow from Bragg's law for the DFT cell and can differ from measured ones.

Peak list (9 most intense, 2θ from 15° to 90°, sorted by position)
Position (°2θ), I/Imax
28.93, 100
33.53, 51
48.14, 37
57.15, 44
59.94, 13
70.46, 6
77.89, 18
80.32, 17
89.90, 13

Atomic structure:
Lattice parameters (Å, degrees): 5.346 5.346 5.346 90.00 90.00 90.00
Element x y z (fractional)
Ba 0.000 0.000 0.000
Sm 0.000 0.500 0.500
Sm 0.500 0.000 0.500
Sm 0.500 0.500 0.000

2.
Theoretical powder X-ray diffraction pattern of KGdO2 for CuKα, from DFT lattice parameters and positions (PBE).
Peak positions follow from Bragg's law for the DFT cell and can differ from measured ones.

Peak list (12 most intense, 2θ from 15° to 90°, sorted by position)
Position (°2θ), I/Imax
28.42, 33
29.50, 37
30.65, 74
34.90, 100
37.81, 14
44.79, 20
48.74, 33
51.60, 32
53.77, 19
57.39, 16
59.96, 25
63.81, 16

Atomic structure:
Lattice parameters (Å, degrees): 3.543 3.543 18.842 90.00 90.00 120.00
Element x y z (fractional)
K 0.000 0.000 0.000
K 0.333 0.667 0.667
K 0.667 0.333 0.333
Gd 0.000 0.000 0.500
Gd 0.333 0.667 0.167
Gd 0.667 0.333 0.833
O 0.000 0.000 0.229
O 0.000 0.000 0.771
O 0.333 0.667 0.437
O 0.333 0.667 0.896
O 0.667 0.333 0.104
O 0.667 0.333 0.563

3.
Theoretical powder X-ray diffraction pattern of CsRuO3 for CuKα, from DFT lattice parameters and positions (PBE).
Peak positions follow from Bragg's law for the DFT cell and can differ from measured ones.

Peak list (8 most intense, 2θ from 15° to 90°, sorted by position)
Position (°2θ), I/Imax
31.07, 100
38.30, 5
44.52, 30
55.28, 39
64.78, 19
73.59, 17
77.83, 1
82.00, 6

Atomic structure:
Lattice parameters (Å, degrees): 4.070 4.070 4.070 90.00 90.00 90.00
Element x y z (fractional)
Cs 0.000 0.000 0.000
Ru 0.500 0.500 0.500
O 0.000 0.500 0.500
O 0.500 0.000 0.500
O 0.500 0.500 0.000

4.
Theoretical powder X-ray diffraction pattern of UAl3 for CuKα, from DFT lattice parameters and positions (PBE).
Peak positions follow from Bragg's law for the DFT cell and can differ from measured ones.

Peak list (12 most intense, 2θ from 15° to 90°, sorted by position)
Position (°2θ), I/Imax
16.57, 34
25.39, 100
28.91, 47
33.50, 19
38.83, 92
49.11, 54
52.15, 11
59.89, 14
66.09, 26
70.23, 14
73.68, 27
81.03, 10

Atomic structure:
Lattice parameters (Å, degrees): 6.178 6.178 4.645 90.00 90.00 120.00
Element x y z (fractional)
U 0.333 0.667 0.250
U 0.667 0.333 0.750
Al 0.153 0.305 0.750
Al 0.153 0.847 0.750
Al 0.305 0.153 0.250
Al 0.695 0.847 0.750
Al 0.847 0.153 0.250
Al 0.847 0.695 0.250

5.
Theoretical powder X-ray diffraction pattern of GdCu2 for CuKα, from DFT lattice parameters and positions (PBE).
Peak positions follow from Bragg's law for the DFT cell and can differ from measured ones.

Peak list (12 most intense, 2θ from 15° to 90°, sorted by position)
Position (°2θ), I/Imax
23.71, 20
34.25, 29
35.03, 100
35.23, 42
38.62, 9
40.47, 14
41.52, 31
42.04, 46
55.56, 22
58.05, 15
68.05, 17
71.56, 12

Atomic structure:
Lattice parameters (Å, degrees): 4.350 7.011 7.417 90.00 90.00 90.00
Element x y z (fractional)
Gd 0.000 0.250 0.038
Gd 0.000 0.750 0.962
Gd 0.500 0.250 0.462
Gd 0.500 0.750 0.538
Cu 0.000 0.051 0.665
Cu 0.000 0.449 0.665
Cu 0.000 0.551 0.335
Cu 0.000 0.949 0.335
Cu 0.500 0.051 0.835
Cu 0.500 0.449 0.835
Cu 0.500 0.551 0.165
Cu 0.500 0.949 0.165

6.
Theoretical powder X-ray diffraction pattern of U2PCl11O for CuKα, from DFT lattice parameters and positions (PBE).
Peak positions follow from Bragg's law for the DFT cell and can differ from measured ones.

Peak list (12 most intense, 2θ from 15° to 90°, sorted by position)
Position (°2θ), I/Imax
15.10, 56
15.32, 91
18.23, 100
20.62, 100
20.86, 98
21.53, 88
24.51, 62
30.34, 88
32.07, 38
33.56, 51
42.69, 62
42.95, 59

Atomic structure:
Lattice parameters (Å, degrees): 8.616 8.517 23.597 90.00 90.00 90.00
Element x y z (fractional)
U 0.220 0.250 0.147
U 0.222 0.750 0.213
U 0.278 0.250 0.713
U 0.280 0.750 0.647
U 0.720 0.250 0.353
U 0.722 0.750 0.287
U 0.778 0.250 0.787
U 0.780 0.750 0.853
P 0.217 0.750 0.486
P 0.283 0.250 0.986
P 0.717 0.750 0.014
P 0.783 0.250 0.514
Cl 0.011 0.250 0.360
Cl 0.013 0.250 0.519
Cl 0.028 0.750 0.315
Cl 0.072 0.750 0.862
Cl 0.085 0.250 0.812
Cl 0.212 0.064 0.943
Cl 0.212 0.436 0.943
Cl 0.216 0.560 0.114
Cl 0.216 0.940 0.114
Cl 0.220 0.057 0.243
Cl 0.220 0.443 0.243
Cl 0.280 0.557 0.743
Cl 0.280 0.943 0.743
Cl 0.284 0.060 0.614
Cl 0.284 0.440 0.614
Cl 0.288 0.564 0.443
Cl 0.288 0.936 0.443
Cl 0.415 0.750 0.312
Cl 0.428 0.250 0.362
Cl 0.472 0.250 0.815
Cl 0.487 0.750 0.019
Cl 0.489 0.750 0.860
Cl 0.511 0.250 0.140
Cl 0.513 0.250 0.981
Cl 0.528 0.750 0.185
Cl 0.572 0.750 0.638
Cl 0.585 0.250 0.688
Cl 0.712 0.064 0.557
Cl 0.712 0.436 0.557
Cl 0.716 0.560 0.386
Cl 0.716 0.940 0.386
Cl 0.720 0.057 0.257
Cl 0.720 0.443 0.257
Cl 0.780 0.557 0.757
Cl 0.780 0.943 0.757
Cl 0.784 0.060 0.886
Cl 0.784 0.440 0.886
Cl 0.788 0.564 0.057
Cl 0.788 0.936 0.057
Cl 0.915 0.750 0.188
Cl 0.928 0.250 0.138
Cl 0.972 0.250 0.685
Cl 0.987 0.750 0.481
Cl 0.989 0.750 0.640
O 0.225 0.250 0.045
O 0.275 0.750 0.545
O 0.725 0.250 0.455
O 0.775 0.750 0.955

7.
Theoretical powder X-ray diffraction pattern of LiAsSe2 for CuKα, from DFT lattice parameters and positions (PBE).
Peak positions follow from Bragg's law for the DFT cell and can differ from measured ones.

Peak list (12 most intense, 2θ from 15° to 90°, sorted by position)
Position (°2θ), I/Imax
15.24, 41
22.52, 42
26.64, 64
27.96, 31
30.75, 80
31.45, 94
32.66, 100
45.47, 53
45.98, 68
46.26, 34
51.45, 31
57.78, 35

Atomic structure:
Lattice parameters (Å, degrees): 5.704 5.483 5.831 90.00 94.21 90.00
Element x y z (fractional)
Li 0.239 0.250 0.005
Li 0.761 0.750 0.995
As 0.303 0.750 0.413
As 0.697 0.250 0.587
Se 0.251 0.750 0.008
Se 0.269 0.250 0.502
Se 0.731 0.750 0.498
Se 0.749 0.250 0.992

8.
Theoretical powder X-ray diffraction pattern of Mg2ZnAs2 for CuKα, from DFT lattice parameters and positions (PBE).
Peak positions follow from Bragg's law for the DFT cell and can differ from measured ones.

Peak list (12 most intense, 2θ from 15° to 90°, sorted by position)
Position (°2θ), I/Imax
24.55, 66
26.31, 33
27.91, 70
36.30, 100
43.22, 95
47.43, 61
51.31, 31
57.67, 25
66.09, 22
74.76, 40
82.30, 24
85.30, 16

Atomic structure:
Lattice parameters (Å, degrees): 4.187 4.187 6.774 90.00 90.00 120.00
Element x y z (fractional)
Mg 0.000 0.000 0.000
Mg 0.333 0.667 0.636
Zn 0.667 0.333 0.264
As 0.000 0.000 0.396
As 0.667 0.333 0.861

9.
Theoretical powder X-ray diffraction pattern of Y4Al23Ni6 for CuKα, from DFT lattice parameters and positions (PBE).
Peak positions follow from Bragg's law for the DFT cell and can differ from measured ones.

Peak list (12 most intense, 2θ from 15° to 90°, sorted by position)
Position (°2θ), I/Imax
22.74, 29
23.40, 29
26.33, 32
30.41, 52
31.10, 30
35.98, 62
36.18, 41
36.89, 52
37.32, 78
40.02, 70
44.53, 100
46.06, 35

Atomic structure:
Lattice parameters (Å, degrees): 8.168 8.168 18.339 112.13 112.13 28.85
Element x y z (fractional)
Y 0.072 0.072 0.406
Y 0.235 0.235 0.781
Y 0.765 0.765 0.219
Y 0.928 0.928 0.594
Al 0.033 0.033 0.781
Al 0.066 0.066 0.941
Al 0.111 0.111 0.164
Al 0.122 0.122 0.595
Al 0.226 0.226 0.325
Al 0.244 0.244 0.954
Al 0.299 0.299 0.480
Al 0.355 0.355 0.143
Al 0.409 0.409 0.718
Al 0.410 0.410 0.948
Al 0.419 0.419 0.314
Al 0.500 0.500 0.500
Al 0.581 0.581 0.686
Al 0.590 0.590 0.052
Al 0.591 0.591 0.282
Al 0.645 0.645 0.857
Al 0.701 0.701 0.520
Al 0.756 0.756 0.046
Al 0.774 0.774 0.675
Al 0.878 0.878 0.405
Al 0.889 0.889 0.836
Al 0.934 0.934 0.059
Al 0.967 0.967 0.219
Ni 0.189 0.189 0.068
Ni 0.273 0.273 0.601
Ni 0.492 0.492 0.861
Ni 0.508 0.508 0.139
Ni 0.727 0.727 0.399
Ni 0.811 0.811 0.932

10.
Theoretical powder X-ray diffraction pattern of LiMn9Se10 for CuKα, from DFT lattice parameters and positions (PBE).
Peak positions follow from Bragg's law for the DFT cell and can differ from measured ones.

Peak list (12 most intense, 2θ from 15° to 90°, sorted by position)
Position (°2θ), I/Imax
28.70, 9
33.26, 100
47.75, 70
59.42, 18
59.47, 6
69.77, 7
69.95, 4
79.51, 17
79.63, 7
79.69, 5
88.95, 11
89.06, 9

Atomic structure:
Lattice parameters (Å, degrees): 6.597 7.629 8.508 102.95 97.32 106.79
Element x y z (fractional)
Li 0.000 0.000 0.000
Mn 0.000 0.500 0.000
Mn 0.199 0.399 0.399
Mn 0.199 0.901 0.400
Mn 0.401 0.801 0.801
Mn 0.402 0.300 0.802
Mn 0.598 0.700 0.198
Mn 0.599 0.199 0.199
Mn 0.801 0.099 0.600
Mn 0.801 0.601 0.601
Se 0.100 0.450 0.700
Se 0.101 0.949 0.697
Se 0.302 0.353 0.102
Se 0.302 0.849 0.101
Se 0.500 0.251 0.499
Se 0.500 0.749 0.501
Se 0.698 0.151 0.899
Se 0.698 0.647 0.898
Se 0.899 0.051 0.303
Se 0.900 0.550 0.300

11.
Theoretical powder X-ray diffraction pattern of EuSnP for CuKα, from DFT lattice parameters and positions (PBE).
Peak positions follow from Bragg's law for the DFT cell and can differ from measured ones.

Peak list (12 most intense, 2θ from 15° to 90°, sorted by position)
Position (°2θ), I/Imax
23.19, 18
29.25, 66
29.59, 100
30.71, 32
42.34, 38
43.16, 50
52.29, 28
53.20, 27
56.95, 17
69.63, 18
73.47, 17
78.00, 18

Atomic structure:
Lattice parameters (Å, degrees): 4.270 4.270 8.735 90.00 90.00 90.00
Element x y z (fractional)
Eu 0.250 0.250 0.169
Eu 0.750 0.750 0.831
Sn 0.250 0.250 0.550
Sn 0.750 0.750 0.450
P 0.250 0.250 0.836
P 0.750 0.750 0.164

12.
Theoretical powder X-ray diffraction pattern of CaB2C6 for CuKα, from DFT lattice parameters and positions (PBE).
Peak positions follow from Bragg's law for the DFT cell and can differ from measured ones.

Peak list (12 most intense, 2θ from 15° to 90°, sorted by position)
Position (°2θ), I/Imax
19.62, 44
19.90, 48
22.17, 100
28.09, 21
35.91, 28
36.23, 27
40.41, 49
44.93, 23
45.25, 55
46.33, 11
63.18, 10
86.53, 11

Atomic structure:
Lattice parameters (Å, degrees): 6.354 5.210 5.156 75.61 52.58 51.81
Element x y z (fractional)
Ca 0.000 0.000 0.000
B 0.424 0.910 0.090
B 0.910 0.424 0.576
C 0.080 0.080 0.420
C 0.087 0.589 0.411
C 0.419 0.419 0.081
C 0.580 0.580 0.920
C 0.589 0.087 0.913
C 0.919 0.919 0.581

Please write out number 10 again, unchanged.
Theoretical powder X-ray diffraction pattern of LiMn9Se10 for CuKα, from DFT lattice parameters and positions (PBE).
Peak positions follow from Bragg's law for the DFT cell and can differ from measured ones.

Peak list (12 most intense, 2θ from 15° to 90°, sorted by position)
Position (°2θ), I/Imax
28.70, 9
33.26, 100
47.75, 70
59.42, 18
59.47, 6
69.77, 7
69.95, 4
79.51, 17
79.63, 7
79.69, 5
88.95, 11
89.06, 9

Atomic structure:
Lattice parameters (Å, degrees): 6.597 7.629 8.508 102.95 97.32 106.79
Element x y z (fractional)
Li 0.000 0.000 0.000
Mn 0.000 0.500 0.000
Mn 0.199 0.399 0.399
Mn 0.199 0.901 0.400
Mn 0.401 0.801 0.801
Mn 0.402 0.300 0.802
Mn 0.598 0.700 0.198
Mn 0.599 0.199 0.199
Mn 0.801 0.099 0.600
Mn 0.801 0.601 0.601
Se 0.100 0.450 0.700
Se 0.101 0.949 0.697
Se 0.302 0.353 0.102
Se 0.302 0.849 0.101
Se 0.500 0.251 0.499
Se 0.500 0.749 0.501
Se 0.698 0.151 0.899
Se 0.698 0.647 0.898
Se 0.899 0.051 0.303
Se 0.900 0.550 0.300